Diffraction record for Co3O2F4. The X-ray diffraction stick pattern is computed, not measured: it uses a PBE+U-relaxed structure and Cu Kα, 1.54184 Å.
Neutral-atom scattering factors, no anomalous dispersion.

Most intense lines, 2θ from 5° to 70°, by angle:
- 27.37°, intensity 100, (1 1 -1)
- 34.16°, intensity 17, (2 0 1)
- 34.69°, intensity 32, (1 1 2)
- 52.49°, intensity 16, (3 1 0)
- 53.11°, intensity 15, (2 2 1)
- 53.51°, intensity 14, (1 1 -4)
- 53.62°, intensity 16, (0 2 3)
- 56.48°, intensity 17, (2 2 -2)

Cell and atoms:
```
data_Co3O2F4
_chemical_formula_sum 'Co6 O4 F8'
_symmetry_space_group_name_H-M 'P 1 21 1'
_symmetry_Int_Tables_number 4
_cell_length_a 5.6608
_cell_length_b 4.5739
_cell_length_c 7.7234
_cell_angle_alpha 90.00
_cell_angle_beta 92.09
_cell_angle_gamma 90.00
loop_
_symmetry_equiv_pos_as_xyz
'x,y,z'
'-x,y+1/2,-z'
loop_
_atom_site_label
_atom_site_fract_x
_atom_site_fract_y
_atom_site_fract_z
_atom_site_occupancy
Co1 0.0678 0.0000 0.3500 1
Co2 0.2698 0.4813 0.0008 1
Co3 0.3997 0.0380 0.6729 1
O1 0.1128 0.2034 0.5641 1
O2 0.4521 0.2045 0.8995 1
F1 0.0516 0.7982 0.1060 1
F2 0.2176 0.7023 0.7743 1
F3 0.2761 0.2943 0.2405 1
F4 0.3811 0.8062 0.4460 1
```